This entry pairs a crystal structure of NdGe2Se3 with its computed powder diffraction line list. Radiation: Cu Kα, 1.54184 Å. Structure: a crystal structure in Alexandria, relaxed with GGA-PBE.

Principal peaks in the range 5° ≤ 2θ ≤ 70°, by intensity:
(1 0 -1), 2θ 11.2, I = 1000; (1 0 1), 2θ 15.8, I = 839; (1 1 2), 2θ 31.5, I = 563; (2 1 2), 2θ 39.0, I = 549; (1 1 -3), 2θ 31.7, I = 492; (1 1 1), 2θ 27.0, I = 484; (0 2 0), 2θ 44.2, I = 454; (4 1 -3), 2θ 49.1, I = 441; (1 1 -2), 2θ 27.1, I = 344; (2 0 -4), 2θ 32.5, I = 317

Cell and atoms:
```
data_NdGe2Se3
_space_group_name_H-M_alt 'P 1 21/m 1'
_space_group_IT_number 11
_space_group_name_Hall '-P 2yb'
_cell_length_a 8.498
_cell_length_b 4.094
_cell_length_c 11.755
_cell_angle_alpha 90.00
_cell_angle_beta 110.32
_cell_angle_gamma 90.00
loop_
_atom_site_label
_atom_site_type_symbol
_atom_site_fract_x
_atom_site_fract_y
_atom_site_fract_z
Nd1 Nd 0.205 0.250 0.189
Ge1 Ge 0.259 0.750 0.470
Ge2 Ge 0.473 0.750 0.054
Se1 Se 0.059 0.250 0.372
Se2 Se 0.167 0.750 0.992
Se3 Se 0.435 0.750 0.329
```